Structure and calculated XRD peak list of Er3Mn3S8 (a DFT-relaxed cell (GGA-PBE, Alexandria); λ = 1.5418 Å (Cu Kα)).
Lines closer than 0.1° are merged.

Atomic structure:
abc: 7.7055 7.7055 18.5042
angles: 90.00 90.00 120.00
Space group R-3m (No. 166, hexagonal axes)
One atom of each set of equivalent atoms:
Er: 0.0000 0.5000 0.0000
Mn: 0.0000 0.0000 0.1234
Mn: 0.0000 0.0000 0.5000
S: 0.0000 0.0000 0.2526
S: 0.0187 0.5094 0.2453

Most intense lines, 2θ = 10–90°, sorted by position:
hkl  d_spacing  intensity
1 0 1  6.277  40.5
0 0 3  6.168  57.8
1 0 4  3.802  23.9
0 2 1  3.284  93.3
1 1 3  3.268  56.9
0 1 5  3.236  30.8
2 0 2  3.139  24.2
0 2 4  2.706  100.0
2 2 0  1.926  61.5
2 0 8  1.901  58.8

Structure and calculated XRD peak list of Tl2Sb (a DFT-relaxed cell (GGA-PBE, Alexandria); λ = 1.5418 Å (Cu Kα)).
Lines closer than 0.1° are merged.

Atomic structure:
abc: 8.3097 8.3097 4.8867
angles: 90.00 90.00 120.00
Space group P-62m (No. 189)
One atom of each set of equivalent atoms:
Tl: 0.0000 0.2580 0.0000
Tl: 0.0000 0.5900 0.5000
Sb: 0.0000 0.0000 0.5000
Sb: 0.3333 0.6667 0.0000

Most intense lines, 2θ = 10–90°, sorted by position:
hkl  d_spacing  intensity
1 1 1  3.165  100.0
2 0 1  2.897  76.2
2 1 0  2.720  46.6
0 0 2  2.443  29.6
3 0 0  2.399  26.4
2 1 1  2.377  19.2
3 1 1  1.848  15.4
2 1 2  1.818  29.2
3 0 2  1.712  19.0
3 2 1  1.564  29.4

Structure and calculated XRD peak list of Ba5Bi2PI (a DFT-relaxed cell (GGA-PBE, Alexandria); λ = 1.5418 Å (Cu Kα)).
Lines closer than 0.1° are merged.

Atomic structure:
abc: 5.971 8.682 17.560
angles: 90.00 90.00 90.00
Space group Immm (No. 71)
One atom of each set of equivalent atoms:
Ba: 0.000 0.000 0.000
Ba: 0.000 0.271 0.355
Bi: 0.000 0.000 0.203
P: 0.000 0.500 0.500
I: 0.000 0.500 0.000

Most intense lines, 2θ = 10–90°, sorted by position:
hkl  d_spacing  intensity
0 1 1  7.782  30.4
0 1 3  4.853  30.2
1 1 2  4.292  48.6
1 2 1  3.443  100.0
0 2 4  3.087  70.1
1 0 5  3.027  43.6
1 2 3  3.011  50.6
2 0 0  2.986  60.2
1 2 5  2.483  29.3
2 2 4  2.146  50.2

Structure and calculated XRD peak list of La2Ho3Er7 (a DFT-relaxed cell (GGA-PBE, Alexandria); λ = 1.5418 Å (Cu Kα)).
Lines closer than 0.1° are merged.

Atomic structure:
abc: 6.324 3.505 17.411
angles: 90.00 96.26 90.00
Space group P2/m (No. 10)
One atom of each set of equivalent atoms:
La: 0.058 0.000 0.174
Ho: 0.454 0.500 0.843
Ho: 0.500 0.000 0.500
Er: 0.000 0.500 0.500
Er: 0.230 0.000 0.665
Er: 0.257 0.000 0.999
Er: 0.276 0.500 0.339

Most intense lines, 2θ = 10–90°, sorted by position:
hkl  d_spacing  intensity
1 1 1  2.988  61.8
2 0 -3  2.896  84.4
0 0 6  2.885  94.7
1 1 2  2.839  100.0
2 0 3  2.642  65.4
1 1 -4  2.564  76.5
1 1 -5  2.356  27.1
3 1 -1  1.806  36.4
2 0 -9  1.725  38.5
0 2 6  1.498  26.4

Structure and calculated XRD peak list of Sr3Ru2O7 (a DFT-relaxed cell (GGA-PBE, Alexandria); λ = 1.5418 Å (Cu Kα)).
Lines closer than 0.1° are merged.

Atomic structure:
abc: 5.586 20.876 5.589
angles: 90.00 90.00 90.00
Space group Ccce (No. 68, origin choice 2)
One atom of each set of equivalent atoms:
Sr: 0.000 0.064 0.250
Sr: 0.000 0.250 0.250
Ru: 0.000 0.153 0.750
O: 0.000 0.055 0.750
O: 0.000 0.250 0.750
O: 0.207 0.154 0.043

Most intense lines, 2θ = 10–90°, sorted by position:
hkl  d_spacing  intensity
0 4 0  5.219  8.1
1 5 1  2.870  100.0
2 0 0  2.794  63.1
0 10 0  2.088  16.3
2 0 2  1.976  33.4
2 10 0  1.672  19.6
3 5 1  1.627  40.5
2 10 2  1.435  16.9
4 0 0  1.397  9.6
4 0 2  1.249  11.1

Structure and calculated XRD peak list of Ho13Ni2 (a DFT-relaxed cell (GGA-PBE, Alexandria); λ = 1.5418 Å (Cu Kα)).
Lines closer than 0.1° are merged.

Atomic structure:
abc: 6.404 8.015 9.197
angles: 65.20 84.81 82.13
Space group P-1 (No. 2)
One atom of each set of equivalent atoms:
Ho: 0.000 0.000 0.000
Ho: 0.001 0.806 0.668
Ho: 0.168 0.654 0.371
Ho: 0.239 0.560 0.041
Ho: 0.299 0.365 0.771
Ho: 0.456 0.072 0.155
Ho: 0.475 0.234 0.445
Ni: 0.180 0.090 0.682

Most intense lines, 2θ = 10–90°, sorted by position:
hkl  d_spacing  intensity
2 1 0  3.028  77.0
-1 2 2  2.930  96.7
0 2 -1  2.909  100.0
1 1 3  2.848  84.5
2 -1 1  2.553  75.2
1 3 2  2.539  62.7
1 0 -3  2.513  74.1
-1 4 1  1.793  26.0
1 -1 4  1.747  23.3
1 2 -4  1.513  28.5